For Sm11Hg9Ir4, a structure optimized by DFT (GGA-PBE) gives the calculated XRD peak list in this record (Cu Kα (weighted mean of Kα1 and Kα2)).
Neutral-atom scattering factors, no anomalous dispersion.

The 10 most intense peaks (5 to 70 degrees two-theta), low angle first:
d_spacing  two_theta  I/Imax
2.767  32.36  9
2.630  34.10  100
2.590  34.63  46
2.472  36.34  12
2.408  37.35  9
2.384  37.73  8
1.889  48.17  19
1.831  49.79  12
1.526  60.69  19
1.503  61.72  13

Structural model:
```
data_Sm11Hg9Ir4
_chemical_formula_sum 'Sm11 Hg9 Ir4'
_symmetry_space_group_name_H-M 'P 1'
_symmetry_Int_Tables_number 1
_cell_length_a 13.2044
_cell_length_b 13.2044
_cell_length_c 3.7774
_cell_angle_alpha 90.00
_cell_angle_beta 90.00
_cell_angle_gamma 112.58
loop_
_symmetry_equiv_pos_as_xyz
'x,y,z'
loop_
_atom_site_label
_atom_site_type_symbol
_atom_site_fract_x
_atom_site_fract_y
_atom_site_fract_z
Sm1 Sm 0.0000 0.0000 0.0000
Sm2 Sm 0.0824 0.4159 0.0000
Sm3 Sm 0.1664 0.8336 0.0000
Sm4 Sm 0.3034 0.3034 0.0000
Sm5 Sm 0.3717 0.6283 0.0000
Sm6 Sm 0.4159 0.0824 0.0000
Sm7 Sm 0.5841 0.9176 0.0000
Sm8 Sm 0.6283 0.3717 0.0000
Sm9 Sm 0.6966 0.6966 0.0000
Sm10 Sm 0.8336 0.1664 0.0000
Sm11 Sm 0.9176 0.5841 0.0000
Hg1 Hg 0.0632 0.2111 0.5000
Hg2 Hg 0.1522 0.6322 0.5000
Hg3 Hg 0.2111 0.0632 0.5000
Hg4 Hg 0.3678 0.8478 0.5000
Hg5 Hg 0.5000 0.5000 0.5000
Hg6 Hg 0.6322 0.1522 0.5000
Hg7 Hg 0.7889 0.9368 0.5000
Hg8 Hg 0.8478 0.3678 0.5000
Hg9 Hg 0.9368 0.7889 0.5000
Ir1 Ir 0.2521 0.4508 0.5000
Ir2 Ir 0.4508 0.2521 0.5000
Ir3 Ir 0.5492 0.7479 0.5000
Ir4 Ir 0.7479 0.5492 0.5000
```